Structure and calculated powder XRD pattern of LiCo2Cu (a cell relaxed with PBE; Cu Kα (weighted mean of Kα1 and Kα2)).
Intensities are scaled so that the largest is 100.

Principal peaks in the range 2θ from 10° to 80°, in order of rising 2θ:
2θ (°), d (Å), I/Imax
10.2, 8.678, 100
20.5, 4.339, 13
30.9, 2.893, 6
41.6, 2.170, 31
42.4, 2.130, 11
43.7, 2.070, 26
46.3, 1.960, 89
52.3, 1.750, 8
62.0, 1.498, 17
79.3, 1.208, 16

Structural model:
Lattice parameters (Å, degrees): 2.4424 2.4424 8.6783 90.00 90.00 115.89
Element x y z (fractional)
Li 0.0000 0.0000 0.0000
Co 0.5000 0.5000 0.2528
Co 0.5000 0.5000 0.7472
Cu 0.0000 0.0000 0.5000

Structure and calculated powder XRD pattern of Li2NdPb2 (a cell relaxed with PBE; Cu Kα (weighted mean of Kα1 and Kα2)).
Intensities are scaled so that the largest is 100.

Principal peaks in the range 2θ from 10° to 80°, in order of rising 2θ:
2θ (°), d (Å), I/Imax
24.4, 3.644, 40
25.1, 3.554, 39
28.2, 3.166, 100
31.1, 2.875, 53
31.6, 2.830, 82
38.5, 2.339, 59
42.9, 2.107, 22
46.1, 1.968, 30
50.3, 1.814, 28
57.7, 1.597, 23

Structural model:
Lattice parameters (Å, degrees): 4.6775 4.6774 10.9333 90.00 90.01 90.00
Element x y z (fractional)
Li 0.2488 0.2500 0.0000
Li 0.2499 0.7500 0.3635
Li 0.7501 0.2500 0.6365
Li 0.7512 0.7500 0.0000
Nd 0.2498 0.7500 0.7572
Nd 0.7502 0.2500 0.2428
Pb 0.2500 0.2500 0.5000
Pb 0.2512 0.7500 0.1272
Pb 0.7488 0.2500 0.8728
Pb 0.7500 0.7500 0.5000

Structure and calculated powder XRD pattern of MnCrCuAu (a cell relaxed with PBE; Cu Kα (weighted mean of Kα1 and Kα2)).
Intensities are scaled so that the largest is 100.

Principal peaks in the range 2θ from 10° to 80°, in order of rising 2θ:
2θ (°), d (Å), I/Imax
10.7, 8.237, 77
21.6, 4.118, 23
32.6, 2.746, 24
37.3, 2.410, 15
38.9, 2.313, 100
43.5, 2.080, 94
44.0, 2.059, 22
50.4, 1.811, 38
67.3, 1.391, 23
69.1, 1.360, 25

Structural model:
Lattice parameters (Å, degrees): 2.7825 2.7825 8.2369 90.00 90.00 120.00
Element x y z (fractional)
Mn 0.0000 0.0000 0.0000
Cr 0.6667 0.3333 0.8171
Cu 0.0000 0.0000 0.5644
Au 0.3333 0.6667 0.2890

Structure and calculated powder XRD pattern of ErHgPt (a cell relaxed with PBE; Cu Kα (weighted mean of Kα1 and Kα2)).
Intensities are scaled so that the largest is 100.

Principal peaks in the range 2θ from 10° to 80°, in order of rising 2θ:
2θ (°), d (Å), I/Imax
30.5, 2.929, 35
31.0, 2.886, 26
32.7, 2.742, 59
35.2, 2.552, 100
36.6, 2.453, 24
39.2, 2.298, 51
40.3, 2.236, 35
40.9, 2.208, 44
42.0, 2.150, 38
59.9, 1.545, 24

Structural model:
Lattice parameters (Å, degrees): 7.0490 5.4873 7.2391 90.00 107.87 90.00
Element x y z (fractional)
Er 0.1607 0.1347 0.3623
Er 0.1607 0.3653 0.8623
Er 0.8393 0.6347 0.1377
Er 0.8393 0.8653 0.6377
Hg 0.4394 0.5869 0.2890
Hg 0.4394 0.9131 0.7890
Hg 0.5606 0.0869 0.2110
Hg 0.5606 0.4131 0.7110
Pt 0.1552 0.6478 0.5036
Pt 0.1552 0.8522 0.0036
Pt 0.8448 0.1478 0.9964
Pt 0.8448 0.3522 0.4964

Structure and calculated powder XRD pattern of PmThTeSe2 (a cell relaxed with PBE; Cu Kα (weighted mean of Kα1 and Kα2)).
Intensities are scaled so that the largest is 100.

Principal peaks in the range 2θ from 10° to 80°, in order of rising 2θ:
2θ (°), d (Å), I/Imax
19.9, 4.471, 21
26.7, 3.336, 33
26.8, 3.321, 100
29.7, 3.012, 33
37.2, 2.415, 68
38.2, 2.359, 49
47.3, 1.923, 43
54.4, 1.686, 19
66.4, 1.407, 18
68.3, 1.372, 19

Structural model:
Lattice parameters (Å, degrees): 7.7662 7.7662 7.7662 144.64 144.64 50.87
Element x y z (fractional)
Pm 0.0000 0.0000 0.0000
Th 0.2633 0.2633 0.0000
Te 0.6419 0.6419 0.0000
Se 0.3826 0.8826 0.5000
Se 0.8826 0.3826 0.5000

Structure and calculated powder XRD pattern of PmNd2PdO5 (a cell relaxed with PBE; Cu Kα (weighted mean of Kα1 and Kα2)).
Intensities are scaled so that the largest is 100.

Principal peaks in the range 2θ from 10° to 80°, in order of rising 2θ:
2θ (°), d (Å), I/Imax
30.0, 2.980, 48
30.1, 2.964, 21
30.9, 2.897, 100
33.8, 2.654, 57
38.4, 2.344, 25
43.0, 2.102, 41
43.2, 2.096, 16
49.5, 1.842, 20
53.8, 1.704, 22
57.7, 1.597, 20

Structural model:
Lattice parameters (Å, degrees): 6.6286 6.6286 5.9607 90.00 90.00 90.00
Element x y z (fractional)
Pm 0.0000 0.0000 0.0000
Pm 0.5000 0.5000 0.0000
Nd 0.1637 0.3363 0.5000
Nd 0.3363 0.8363 0.5000
Nd 0.6637 0.1637 0.5000
Nd 0.8363 0.6637 0.5000
Pd 0.0000 0.5000 0.0000
Pd 0.5000 0.0000 0.0000
O 0.0000 0.0000 0.5000
O 0.1666 0.6666 0.2388
O 0.1666 0.6666 0.7612
O 0.3334 0.1666 0.2388
O 0.3334 0.1666 0.7612
O 0.5000 0.5000 0.5000
O 0.6666 0.8334 0.2388
O 0.6666 0.8334 0.7612
O 0.8334 0.3334 0.2388
O 0.8334 0.3334 0.7612

Structure and calculated powder XRD pattern of Na5Tl5Bi (a cell relaxed with PBE; Cu Kα (weighted mean of Kα1 and Kα2)).
Intensities are scaled so that the largest is 100.

Principal peaks in the range 2θ from 10° to 80°, in order of rising 2θ:
2θ (°), d (Å), I/Imax
16.7, 5.311, 45
18.5, 4.793, 79
23.2, 3.842, 43
29.1, 3.066, 27
29.4, 3.041, 38
30.2, 2.956, 29
32.2, 2.782, 34
33.8, 2.655, 31
37.5, 2.396, 100
60.9, 1.520, 30

Structural model:
Lattice parameters (Å, degrees): 6.1322 6.1322 11.1287 90.00 90.00 120.00
Element x y z (fractional)
Na 0.0000 0.0000 0.0000
Na 0.3333 0.6667 0.3120
Na 0.3333 0.6667 0.6880
Na 0.6667 0.3333 0.1634
Na 0.6667 0.3333 0.8366
Tl 0.0000 0.0000 0.2613
Tl 0.0000 0.0000 0.7387
Tl 0.3409 0.1705 0.5000
Tl 0.8295 0.1705 0.5000
Tl 0.8295 0.6591 0.5000
Bi 0.3333 0.6667 0.0000